No. 1
Mg2TaMoO6: calculated XRD peak list (a wavelength of 1.5418 Å), based on DFT lattice parameters and positions (GGA+U).

Cell and atoms:
a b c (Å): 5.2881 5.2881 14.2825
angles (deg): 90.00 90.00 120.00
Space group R3 (No. 146, hexagonal axes)
Unique sites:
Mg (0.0000, 0.0000, 0.0000) [3 per cell]
Mg (0.0000, 0.0000, 0.4962) [3 per cell]
Ta (0.0000, 0.0000, 0.2912) [3 per cell]
Mo (0.0000, 0.0000, 0.7916) [3 per cell]
O (0.0021, 0.7076, 0.3850) [9 per cell]
O (0.0053, 0.3609, 0.5568) [9 per cell]

Principal peaks in the range 10 to 80 degrees two-theta, sorted by position:
d_spacing	I/Imax	index
3.855	100	0 1 2
2.816	65	1 0 4
2.644	50	1 1 0
1.928	26	0 2 4
1.769	40	1 1 6
1.558	24	2 1 4

***

No. 2
MgZnMo2O8: calculated XRD peak list (a wavelength of 1.5418 Å), based on DFT lattice parameters and positions (GGA+U).

Cell and atoms:
a b c (Å): 6.5421 6.5421 7.6107
angles (deg): 90.00 90.00 90.00
Space group I-4m2 (No. 119)
Unique sites:
Mg (0.0000, 0.0000, 0.0000) [2 per cell]
Zn (0.0000, 0.5000, 0.2500) [2 per cell]
Mo (0.0000, 0.0000, 0.5000) [2 per cell]
Mo (0.0000, 0.5000, 0.7500) [2 per cell]
O (0.0000, 0.2238, 0.3627) [8 per cell]
O (0.0000, 0.2760, 0.8861) [8 per cell]

Principal peaks in the range 10 to 80 degrees two-theta, sorted by position:
d_spacing	I/Imax	index
4.961	30	1 0 1
3.271	70	2 0 0
2.939	100	1 1 2
1.818	49	3 1 2
1.645	17	2 0 4
1.469	21	2 2 4